Entry 1:
Nb2PRuI: calculated PXRD pattern (Cu Ka), based on DFT lattice parameters and positions (GGA-PBE).
No peak broadening, texture or thermal motion is included.

The 8 most intense peaks (5 to 70 degrees two-theta), low angle first:
hkl 0 0 1, 12.16°, rel. 21.0; hkl 1 0 1, 28.23°, rel. 82.5; hkl 0 1 2, 35.54°, rel. 100.0; hkl 1 1 0, 44.74°, rel. 69.5; hkl 0 1 3, 45.44°, rel. 37.8; hkl 0 2 1, 53.75°, rel. 13.6; hkl 2 0 2, 58.39°, rel. 22.9; hkl 2 0 3, 65.67°, rel. 12.2

Structure:
Unit cell a=4.0515 b=4.0515 c=7.2808 alpha=90.00 beta=90.00 gamma=120.00
Space group P3m1 (No. 156)
Symmetry-distinct sites (fractional):
Nb (0.0000, 0.0000, 0.0000) x1
Nb (0.0000, 0.0000, 0.3807) x1
P (0.6667, 0.3333, 0.2146) x1
Ru (0.3333, 0.6667, 0.1631) x1
I (0.6667, 0.3333, 0.6957) x1

Entry 2:
Rb2Tl12Pd7: calculated PXRD pattern (Cu Ka), based on DFT lattice parameters and positions (GGA-PBE).
No peak broadening, texture or thermal motion is included.

The 8 most intense peaks (5 to 70 degrees two-theta), low angle first:
hkl 1 0 0, 8.85°, rel. 13.6; hkl 1 1 0, 15.36°, rel. 13.9; hkl 2 1 1, 30.55°, rel. 100.0; hkl 1 3 1, 37.83°, rel. 41.1; hkl 0 0 2, 38.91°, rel. 28.4; hkl 3 2 0, 39.30°, rel. 17.5; hkl 1 4 0, 41.41°, rel. 15.7; hkl 2 1 3, 65.33°, rel. 14.7

Structure:
Unit cell a=11.5392 b=11.5392 c=4.6295 alpha=90.00 beta=90.00 gamma=120.00
Space group P-6 (No. 174)
Symmetry-distinct sites (fractional):
Rb (0.0000, 0.0000, 0.0000) x1
Rb (0.3333, 0.6667, 0.5000) x1
Tl (0.0376, 0.2710, 0.5000) x3
Tl (0.1327, 0.7199, 0.0000) x3
Tl (0.3807, 0.1948, 0.0000) x3
Tl (0.5510, 0.4320, 0.5000) x3
Pd (0.0391, 0.4379, 0.0000) x3
Pd (0.2653, 0.2408, 0.5000) x3
Pd (0.6667, 0.3333, 0.0000) x1

Entry 3:
HoRe2SiC: calculated PXRD pattern (Cu Ka), based on DFT lattice parameters and positions (GGA-PBE).
No peak broadening, texture or thermal motion is included.

The 8 most intense peaks (5 to 70 degrees two-theta), low angle first:
hkl 1 1 1, 27.01°, rel. 29.9; hkl 0 2 2, 29.42°, rel. 43.3; hkl 1 3 0, 33.60°, rel. 100.0; hkl 1 1 2, 34.48°, rel. 75.8; hkl 0 4 1, 35.18°, rel. 33.1; hkl 0 2 3, 40.54°, rel. 34.8; hkl 1 1 3, 44.50°, rel. 34.9; hkl 2 0 0, 46.16°, rel. 31.8

Structure:
Unit cell a=3.933 b=10.888 c=7.315 alpha=90.00 beta=90.00 gamma=90.00
Space group Cmcm (No. 63)
Symmetry-distinct sites (fractional):
Ho (0.000, 0.042, 0.250) x4
Re (0.000, 0.326, 0.061) x8
Si (0.000, 0.235, 0.750) x4
C (0.000, 0.500, 0.000) x4